Starting from the PBE geometry in Alexandria, the powder diffraction line list of PrCu2O4 was simulated for Cu Kα (weighted mean of Kα1 and Kα2).
Neutral-atom scattering factors, no anomalous dispersion.

Main lines, sorted by position (15° ≤ 2θ ≤ 90°):
- d = 3.749 Å, 23.7 deg, rel. 57
- d = 3.241 Å, 27.5 deg, rel. 100
- d = 2.822 Å, 31.7 deg, rel. 23
- d = 2.749 Å, 32.6 deg, rel. 45
- d = 2.234 Å, 40.4 deg, rel. 41
- d = 2.036 Å, 44.5 deg, rel. 38
- d = 2.003 Å, 45.3 deg, rel. 24
- d = 1.875 Å, 48.6 deg, rel. 32
- d = 1.791 Å, 51.0 deg, rel. 25
- d = 1.411 Å, 66.3 deg, rel. 17

Cell and atoms:
a = 7.768 Å, b = 6.937 Å, c = 5.688 Å
α = 75.22°, β = 59.71°, γ = 45.07°
Fractional coordinates of all 14 atoms:
1 Pr 0.125 0.125 0.125
2 Pr 0.875 0.875 0.875
3 Cu 0.000 0.500 0.500
4 Cu 0.500 0.000 0.500
5 Cu 0.500 0.500 0.000
6 Cu 0.500 0.500 0.500
7 O 0.165 0.355 0.730
8 O 0.250 0.730 0.355
9 O 0.270 0.750 0.835
10 O 0.355 0.165 0.250
11 O 0.645 0.835 0.750
12 O 0.730 0.250 0.165
13 O 0.750 0.270 0.645
14 O 0.835 0.645 0.270